# 1
Simulated powder X-ray diffraction pattern of BaPmS3 for Cu Kα, from a cell relaxed with GGA-PBE.
No peak broadening, texture or thermal motion is included.

Atomic structure:
a b c (Å): 9.172 9.172 7.476
angles (deg): 92.40 92.40 72.11
Fractional positions:
Ba 0.132 0.868 0.750
Ba 0.350 0.650 0.250
Ba 0.650 0.350 0.750
Ba 0.868 0.132 0.250
Pm 0.213 0.280 0.663
Pm 0.280 0.213 0.163
Pm 0.720 0.787 0.837
Pm 0.787 0.720 0.337
S 0.010 0.574 0.610
S 0.027 0.205 0.919
S 0.205 0.027 0.419
S 0.336 0.419 0.936
S 0.419 0.336 0.436
S 0.426 0.990 0.890
S 0.574 0.010 0.110
S 0.581 0.664 0.564
S 0.664 0.581 0.064
S 0.795 0.973 0.581
S 0.973 0.795 0.081
S 0.990 0.426 0.390

Principal peaks in the range 10° ≤ 2θ ≤ 80°, by intensity:
2θ/deg  I/Imax
23.98  1000
35.38  708
20.35  543
23.30  525
16.42  322
34.99  257

# 2
Simulated powder X-ray diffraction pattern of LiNdTl5 for Cu Kα, from a cell relaxed with GGA-PBE.
No peak broadening, texture or thermal motion is included.

Atomic structure:
a b c (Å): 4.919 4.919 7.855
angles (deg): 90.00 90.00 90.00
Fractional positions:
Li 0.000 0.000 0.000
Nd 0.000 0.000 0.500
Tl 0.000 0.500 0.203
Tl 0.000 0.500 0.797
Tl 0.500 0.000 0.203
Tl 0.500 0.000 0.797
Tl 0.500 0.500 0.500

Principal peaks in the range 10° ≤ 2θ ≤ 80°, by intensity:
2θ/deg  I/Imax
34.44  1000
36.53  547
28.05  538
64.42  334
50.94  298
34.25  225

# 3
Simulated powder X-ray diffraction pattern of Li3Ag3Sn2 for Cu Kα, from a cell relaxed with GGA-PBE.
No peak broadening, texture or thermal motion is included.

Atomic structure:
a b c (Å): 8.125 8.125 8.125
angles (deg): 33.50 33.50 33.50
Fractional positions:
Li 0.000 0.000 0.000
Li 0.127 0.127 0.127
Li 0.504 0.504 0.504
Ag 0.250 0.250 0.250
Ag 0.629 0.629 0.629
Ag 0.754 0.754 0.754
Sn 0.378 0.378 0.378
Sn 0.876 0.876 0.876

Principal peaks in the range 10° ≤ 2θ ≤ 80°, by intensity:
2θ/deg  I/Imax
38.42  1000
23.25  427
69.46  255
45.38  216
55.46  168
69.53  86

# 4
Simulated powder X-ray diffraction pattern of Sc2H for Cu Kα, from a cell relaxed with GGA-PBE.
No peak broadening, texture or thermal motion is included.

Atomic structure:
a b c (Å): 5.771 6.665 5.292
angles (deg): 90.00 90.00 90.00
Fractional positions:
Sc 0.080 0.123 0.000
Sc 0.086 0.627 0.019
Sc 0.414 0.127 0.519
Sc 0.420 0.623 0.500
Sc 0.580 0.377 0.000
Sc 0.586 0.873 0.019
Sc 0.914 0.373 0.519
Sc 0.920 0.877 0.500
H 0.082 0.621 0.409
H 0.418 0.121 0.909
H 0.582 0.879 0.409
H 0.918 0.379 0.909

Principal peaks in the range 10° ≤ 2θ ≤ 80°, by intensity:
2θ/deg  I/Imax
35.43  1000
30.99  261
33.88  261
66.30  182
55.13  173
61.63  171

# 5
Simulated powder X-ray diffraction pattern of Lu3Ti for Cu Kα, from a cell relaxed with GGA-PBE.
No peak broadening, texture or thermal motion is included.

Atomic structure:
a b c (Å): 3.385 5.234 5.876
angles (deg): 90.00 90.00 90.00
Fractional positions:
Lu 0.000 0.000 0.000
Lu 0.000 0.500 0.341
Lu 0.500 0.500 0.820
Ti 0.500 0.000 0.504

Principal peaks in the range 10° ≤ 2θ ≤ 80°, by intensity:
2θ/deg  I/Imax
35.05  1000
30.46  272
34.27  234
65.64  209
61.87  193
54.13  188

# 6
Simulated powder X-ray diffraction pattern of HfAl for Cu Kα, from a cell relaxed with GGA-PBE.
No peak broadening, texture or thermal motion is included.

Atomic structure:
a b c (Å): 5.464 5.464 10.415
angles (deg): 90.00 90.00 90.00
Fractional positions:
Hf 0.113 0.123 0.009
Hf 0.125 0.604 0.804
Hf 0.375 0.396 0.304
Hf 0.387 0.877 0.509
Hf 0.613 0.377 0.991
Hf 0.625 0.896 0.196
Hf 0.875 0.104 0.696
Hf 0.887 0.623 0.491
Al 0.136 0.892 0.273
Al 0.167 0.616 0.073
Al 0.333 0.384 0.573
Al 0.364 0.108 0.773
Al 0.636 0.608 0.727
Al 0.667 0.884 0.927
Al 0.833 0.116 0.427
Al 0.864 0.392 0.227

Principal peaks in the range 10° ≤ 2θ ≤ 80°, by intensity:
2θ/deg  I/Imax
33.92  1000
37.82  935
34.74  717
30.51  703
28.77  700
40.79  663

# 7
Simulated powder X-ray diffraction pattern of MoPt7 for Cu Kα, from a cell relaxed with GGA-PBE.
No peak broadening, texture or thermal motion is included.

Atomic structure:
a b c (Å): 8.408 8.408 8.408
angles (deg): 152.66 152.66 39.05
Fractional positions:
Mo 0.000 0.000 0.000
Pt 0.121 0.621 0.500
Pt 0.253 0.253 0.000
Pt 0.379 0.879 0.500
Pt 0.500 0.500 0.000
Pt 0.621 0.121 0.500
Pt 0.747 0.747 0.000
Pt 0.879 0.379 0.500

Principal peaks in the range 10° ≤ 2θ ≤ 80°, by intensity:
2θ/deg  I/Imax
39.31  1000
45.66  331
66.66  210
45.80  159
66.55  109
33.88  22

# 8
Simulated powder X-ray diffraction pattern of Cr4Se5 for Cu Kα, from a cell relaxed with GGA-PBE.
No peak broadening, texture or thermal motion is included.

Atomic structure:
a b c (Å): 7.510 7.510 7.053
angles (deg): 90.00 90.00 120.00
Fractional positions:
Cr 0.000 0.000 0.000
Cr 0.000 0.000 0.500
Cr 0.000 0.421 0.250
Cr 0.000 0.579 0.750
Cr 0.421 0.000 0.250
Cr 0.421 0.421 0.750
Cr 0.579 0.000 0.750
Cr 0.579 0.579 0.250
Se 0.000 0.244 0.750
Se 0.000 0.756 0.250
Se 0.244 0.000 0.750
Se 0.244 0.244 0.250
Se 0.333 0.667 0.000
Se 0.333 0.667 0.500
Se 0.667 0.333 0.000
Se 0.667 0.333 0.500
Se 0.756 0.000 0.250
Se 0.756 0.756 0.750

Principal peaks in the range 10° ≤ 2θ ≤ 80°, by intensity:
2θ/deg  I/Imax
34.90  1000
38.80  678
53.97  249
41.66  246
51.86  155
55.45  135